For CsO2, a DFT-relaxed cell (GGA-PBE, the Materials Project) gives the calculated XRD peak list in this record (Cu Kα X-rays).

Structure:
```
CsO2
1.0
4.8489 0.0000 0.0000
0.0000 6.8574 0.0000
0.0000 0.0000 4.8796
Cs O
2 4
Cartesian
0.0000 0.0000 0.0000 Cs
2.4244 3.4287 2.4398 Cs
0.5517 3.0340 0.0000 O
1.8728 6.4627 2.4398 O
2.9761 0.3948 2.4398 O
4.2972 3.8235 0.0000 O
```

The 6 most intense peaks (2θ = 10–80°), by intensity:
25.93 deg, I = 100; 22.41 deg, I = 78; 37.03 deg, I = 56; 43.74 deg, I = 38; 43.57 deg, I = 15; 58.66 deg, I = 15